For Pd6Au, a structure optimized by DFT (PBE) gives the theoretical powder diffraction line list in this record (Cu Kα X-rays).
Lines closer than 0.1° are merged.

Atomic structure:
Lattice parameters (Å, degrees): 6.9880 6.9880 6.9880 90.00 90.00 90.00
Space group Im-3m (No. 229)
Inequivalent atoms, fractional coordinates:
Pd (0.0000, 0.2500, 0.5000)
Au (0.0000, 0.0000, 0.0000)

Main lines, low angle first (10° ≤ 2θ ≤ 80°):
h k l, 2θ/deg, Rel. int.
2 0 0, 25.5, 42
2 1 1, 31.4, 100
3 2 1, 48.8, 58
4 0 0, 52.4, 24
4 2 0, 59.1, 16
5 2 1, 74.3, 17

For BaCdSn2Br8, a structure optimized by DFT (PBE) gives the theoretical powder diffraction line list in this record (Cu Kα X-rays).
Lines closer than 0.1° are merged.

Atomic structure:
Lattice parameters (Å, degrees): 6.8499 7.1544 9.1093 89.97 89.98 88.82
Space group P-1 (No. 2)
Inequivalent atoms, fractional coordinates:
Ba (0.0000, 0.0000, 0.0000)
Cd (0.0000, 0.0000, 0.5000)
Sn (0.4994, 0.4994, 0.2655)
Br (0.2393, 0.8445, 0.2825)
Br (0.2402, 0.8456, 0.7176)
Br (0.2506, 0.3340, 0.4990)
Br (0.2732, 0.3608, 0.0012)

Main lines, low angle first (10° ≤ 2θ ≤ 80°):
h k l, 2θ/deg, Rel. int.
1 1 0, 17.7, 100
1 -1 0, 18.1, 92
1 -1 2, 26.7, 80
2 1 2, 34.9, 98
2 -1 2, 35.3, 92
0 3 2, 42.8, 91

For Li8Ca3Ag, a structure optimized by DFT (PBE) gives the theoretical powder diffraction line list in this record (Cu Kα X-rays).
Lines closer than 0.1° are merged.

Atomic structure:
Lattice parameters (Å, degrees): 5.8809 5.8809 29.0943 90.00 90.00 120.00
Space group R3m (No. 160, hexagonal axes)
Inequivalent atoms, fractional coordinates:
Li (0.0000, 0.0000, 0.0000)
Li (0.0000, 0.0000, 0.4968)
Li (0.0041, 0.5020, 0.7450)
Li (0.0055, 0.5027, 0.2527)
Ca (0.0000, 0.0000, 0.1868)
Ca (0.0000, 0.0000, 0.3175)
Ca (0.0000, 0.0000, 0.7980)
Ag (0.0000, 0.0000, 0.6834)

Main lines, low angle first (10° ≤ 2θ ≤ 80°):
h k l, 2θ/deg, Rel. int.
0 0 6, 18.3, 30
0 1 2, 18.5, 100
0 1 8, 30.2, 61
1 1 0, 30.4, 66
1 0 10, 35.5, 28
2 0 2, 35.7, 81